Structure and simulated powder diffractogram of Fe4O7F (a PBE+U-relaxed structure; Cu Kα, 1.54184 Å).

Principal peaks in the range 2θ from 10° to 90°, in order of rising 2θ:
two_theta  Rel. int.
26.84  942
27.72  921
35.54  1000
38.97  193
53.26  561
54.26  539
55.32  157
57.26  149
61.49  154
68.36  482

Atomic structure:
```
data_Fe4O7F
_chemical_formula_sum 'Fe8 O14 F2'
_cell_length_a 6.0316
_cell_length_b 6.4353
_cell_length_c 6.6427
_cell_angle_alpha 90.00
_cell_angle_beta 90.00
_cell_angle_gamma 90.00
_space_group_name_H-M_alt 'I m m 2'
_space_group_IT_number 44
loop_
_space_group_symop_operation_xyz
'x,y,z'
'-x,-y,z'
'-x,y,z'
'x,-y,z'
'x+1/2,y+1/2,z+1/2'
'-x+1/2,-y+1/2,z+1/2'
'-x+1/2,y+1/2,z+1/2'
'x+1/2,-y+1/2,z+1/2'
loop_
_atom_site_label
_atom_site_type_symbol
_atom_site_fract_x
_atom_site_fract_y
_atom_site_fract_z
Fe1 Fe 0.0000 0.0000 0.0000
Fe2 Fe 0.0000 0.5000 0.4739
Fe3 Fe 0.2422 0.0000 0.5023
O1 O 0.0000 0.0000 0.3087
O2 O 0.0000 0.0000 0.6960
O3 O 0.0000 0.5000 0.1763
O4 O 0.2471 0.1928 0.9941
F1 F 0.0000 0.5000 0.7905
```